Record 1
Starting from a structure optimized by DFT (PBE), the X-ray diffraction stick pattern of Pm5Dy2YSc was simulated for Cu Ka.

Main lines, low angle first (2θ from 5° to 70°):
| 2θ (°) | intensity |
| --- | --- |
| 27.07 | 37 |
| 31.47 | 14 |
| 31.71 | 100 |
| 32.72 | 16 |
| 33.44 | 33 |
| 35.27 | 16 |
| 47.48 | 11 |
| 48.86 | 10 |
| 49.39 | 12 |
| 58.69 | 17 |
| 60.42 | 14 |
| 60.51 | 10 |

Structural model:
abc: 11.270 11.270 10.180
angles: 90.00 90.00 152.49
Fractional coordinates of all 18 atoms:
1 Pm 0.000 0.000 0.000
2 Pm 0.000 0.000 0.500
3 Pm 0.126 0.874 0.750
4 Pm 0.222 0.778 0.062
5 Pm 0.222 0.778 0.438
6 Pm 0.499 0.501 0.250
7 Pm 0.501 0.499 0.750
8 Pm 0.778 0.222 0.562
9 Pm 0.778 0.222 0.938
10 Pm 0.874 0.126 0.250
11 Dy 0.384 0.616 0.501
12 Dy 0.384 0.616 0.999
13 Dy 0.616 0.384 0.001
14 Dy 0.616 0.384 0.499
15 Y 0.102 0.898 0.250
16 Y 0.898 0.102 0.750
17 Sc 0.285 0.715 0.750
18 Sc 0.715 0.285 0.250

=====

Record 2
Starting from a structure optimized by DFT (PBE), the X-ray diffraction stick pattern of Pm2DyY6Sc3 was simulated for Cu Ka.

Main lines, low angle first (2θ from 5° to 70°):
| 2θ (°) | intensity |
| --- | --- |
| 7.77 | 43 |
| 29.41 | 10 |
| 31.15 | 100 |
| 31.46 | 31 |
| 32.16 | 10 |
| 36.22 | 65 |
| 51.95 | 23 |
| 52.35 | 21 |
| 61.83 | 13 |
| 62.01 | 26 |
| 62.37 | 14 |
| 64.97 | 11 |

Structural model:
abc: 6.097 6.097 11.555
angles: 95.04 95.04 119.99
Fractional coordinates of all 12 atoms:
1 Pm 0.167 0.833 0.000
2 Pm 0.833 0.167 0.000
3 Dy 0.500 0.500 0.000
4 Y 0.080 0.413 0.739
5 Y 0.254 0.254 0.261
6 Y 0.413 0.080 0.739
7 Y 0.587 0.920 0.261
8 Y 0.746 0.746 0.739
9 Y 0.920 0.587 0.261
10 Sc 0.000 0.000 0.500
11 Sc 0.333 0.667 0.500
12 Sc 0.667 0.333 0.500